# Ba2Si2Pt3
Simulated X-ray diffraction stick pattern, Cu Kα. Input: DFT lattice parameters and positions (GGA-PBE).
Kinematic intensities with the Lorentz-polarization factor, no thermal factor.

Largest 10 diffraction maxima, most intense first, 10 to 80 degrees two-theta:
2θ 36.3, rel. 100, (1 0 10); 2θ 42.6, rel. 88, (1 1 0); 2θ 24.8, rel. 83, (0 1 2); 2θ 32.4, rel. 58, (0 1 8); 2θ 15.9, rel. 35, (0 0 6); 2θ 54.3, rel. 32, (1 1 12); 2θ 57.2, rel. 27, (0 2 10); 2θ 61.0, rel. 26, (0 1 20); 2θ 73.8, rel. 26, (2 1 10); 2θ 32.2, rel. 24, (0 0 12)

Structure:
```
data_Ba2Si2Pt3
_chemical_formula_sum 'Ba6 Si6 Pt9'
_cell_length_a 4.2482
_cell_length_b 4.2482
_cell_length_c 33.3779
_cell_angle_alpha 90.00
_cell_angle_beta 90.00
_cell_angle_gamma 120.00
_symmetry_space_group_name_H-M 'R 3 m'
_symmetry_Int_Tables_number 160
_symmetry_space_group_name_Hall 'R 3 -2"'
loop_
_atom_site_label
_atom_site_type_symbol
_atom_site_fract_x
_atom_site_fract_y
_atom_site_fract_z
Ba1 Ba 0.0000 0.0000 0.0000
Ba2 Ba 0.0000 0.0000 0.4963
Si1 Si 0.0000 0.0000 0.2470
Si2 Si 0.0000 0.0000 0.7442
Pt1 Pt 0.0000 0.0000 0.4032
Pt2 Pt 0.0000 0.0000 0.5978
Pt3 Pt 0.0000 0.0000 0.8951
```



# BaSi2SnPt
Simulated X-ray diffraction stick pattern, Cu Kα. Input: DFT lattice parameters and positions (GGA-PBE).
Kinematic intensities with the Lorentz-polarization factor, no thermal factor.

Largest 10 diffraction maxima, most intense first, 10 to 80 degrees two-theta:
2θ 31.9, rel. 100, (1 0 3); 2θ 27.2, rel. 77, (1 1 0); 2θ 51.2, rel. 54, (2 1 3); 2θ 38.9, rel. 51, (2 0 0); 2θ 21.0, rel. 23, (1 0 1); 2θ 44.1, rel. 18, (1 1 4); 2θ 56.2, rel. 18, (2 2 0); 2θ 79.5, rel. 15, (3 2 3); 2θ 47.3, rel. 15, (1 0 5); 2θ 63.6, rel. 15, (3 1 0)

Structure:
```
data_BaSi2SnPt
_chemical_formula_sum 'Ba2 Si4 Sn2 Pt2'
_cell_length_a 4.629
_cell_length_b 4.629
_cell_length_c 10.566
_cell_angle_alpha 90.00
_cell_angle_beta 90.00
_cell_angle_gamma 90.00
_symmetry_space_group_name_H-M 'I 4 m m'
_symmetry_Int_Tables_number 107
_symmetry_space_group_name_Hall 'I 4 -2'
loop_
_atom_site_label
_atom_site_type_symbol
_atom_site_fract_x
_atom_site_fract_y
_atom_site_fract_z
Ba1 Ba 0.000 0.000 0.000
Si1 Si 0.000 0.500 0.245
Sn1 Sn 0.000 0.000 0.394
Pt1 Pt 0.000 0.000 0.659
```



# BaThPt3
Simulated X-ray diffraction stick pattern, Cu Kα. Input: DFT lattice parameters and positions (GGA-PBE).
Kinematic intensities with the Lorentz-polarization factor, no thermal factor.

Largest 10 diffraction maxima, most intense first, 10 to 80 degrees two-theta:
2θ 29.2, rel. 100, (1 0 2); 2θ 37.1, rel. 94, (1 1 2); 2θ 31.9, rel. 72, (2 0 0); 2θ 40.5, rel. 63, (2 0 2); 2θ 42.6, rel. 46, (2 1 0); 2θ 15.8, rel. 43, (1 0 0); 2θ 55.1, rel. 38, (3 0 2); 2θ 67.7, rel. 24, (2 1 4); 2θ 60.4, rel. 23, (2 0 4); 2θ 49.9, rel. 23, (0 0 4)

Structure:
```
data_BaThPt3
_chemical_formula_sum 'Ba2 Th2 Pt6'
_cell_length_a 6.4819
_cell_length_b 6.4819
_cell_length_c 7.3111
_cell_angle_alpha 90.00
_cell_angle_beta 90.00
_cell_angle_gamma 120.00
_symmetry_space_group_name_H-M 'P -6 c 2'
_symmetry_Int_Tables_number 188
_symmetry_space_group_name_Hall 'P -6c 2'
loop_
_atom_site_label
_atom_site_type_symbol
_atom_site_fract_x
_atom_site_fract_y
_atom_site_fract_z
Ba1 Ba 0.0000 0.0000 0.0000
Th1 Th 0.6667 0.3333 0.0000
Pt1 Pt 0.0565 0.4846 0.2500
```



# BaPuTh
Simulated X-ray diffraction stick pattern, Cu Kα. Input: DFT lattice parameters and positions (GGA-PBE).
Kinematic intensities with the Lorentz-polarization factor, no thermal factor.

Largest 10 diffraction maxima, most intense first, 10 to 80 degrees two-theta:
2θ 33.5, rel. 100, (2 2 0); 2θ 59.8, rel. 39, (4 2 2); 2θ 23.5, rel. 36, (2 0 0); 2θ 48.0, rel. 18, (4 0 0); 2θ 54.1, rel. 16, (4 2 0); 2θ 70.3, rel. 12, (4 4 0); 2θ 20.3, rel. 12, (1 1 1); 2θ 41.3, rel. 12, (2 2 2); 2θ 75.3, rel. 8, (6 0 0); 2θ 39.5, rel. 6, (3 1 1)

Structure:
```
data_BaPuTh
_chemical_formula_sum 'Ba4 Pu4 Th4'
_cell_length_a 7.575
_cell_length_b 7.575
_cell_length_c 7.575
_cell_angle_alpha 90.00
_cell_angle_beta 90.00
_cell_angle_gamma 90.00
_symmetry_space_group_name_H-M 'F -4 3 m'
_symmetry_Int_Tables_number 216
_symmetry_space_group_name_Hall 'F -4 2 3'
loop_
_atom_site_label
_atom_site_type_symbol
_atom_site_fract_x
_atom_site_fract_y
_atom_site_fract_z
Ba1 Ba 0.000 0.000 0.000
Pu1 Pu 0.250 0.250 0.750
Th1 Th 0.250 0.250 0.250
```



# BaYPu
Simulated X-ray diffraction stick pattern, Cu Kα. Input: DFT lattice parameters and positions (GGA-PBE).
Kinematic intensities with the Lorentz-polarization factor, no thermal factor.

Largest 10 diffraction maxima, most intense first, 10 to 80 degrees two-theta:
2θ 31.4, rel. 100, (2 2 0); 2θ 22.0, rel. 43, (2 0 0); 2θ 55.8, rel. 39, (4 2 2); 2θ 19.1, rel. 20, (1 1 1); 2θ 50.6, rel. 20, (4 2 0); 2θ 44.9, rel. 19, (4 0 0); 2θ 74.4, rel. 17, (6 2 0); 2θ 38.7, rel. 14, (2 2 2); 2θ 65.4, rel. 12, (4 4 0); 2θ 37.0, rel. 12, (3 1 1)

Structure:
```
data_BaYPu
_chemical_formula_sum 'Ba4 Y4 Pu4'
_cell_length_a 8.068
_cell_length_b 8.068
_cell_length_c 8.068
_cell_angle_alpha 90.00
_cell_angle_beta 90.00
_cell_angle_gamma 90.00
_symmetry_space_group_name_H-M 'F -4 3 m'
_symmetry_Int_Tables_number 216
_symmetry_space_group_name_Hall 'F -4 2 3'
loop_
_atom_site_label
_atom_site_type_symbol
_atom_site_fract_x
_atom_site_fract_y
_atom_site_fract_z
Ba1 Ba 0.000 0.000 0.000
Y1 Y 0.250 0.250 0.250
Pu1 Pu 0.000 0.000 0.500
```



# BaTbScS3
Simulated X-ray diffraction stick pattern, Cu Kα. Input: DFT lattice parameters and positions (GGA-PBE).
Kinematic intensities with the Lorentz-polarization factor, no thermal factor.

Largest 10 diffraction maxima, most intense first, 10 to 80 degrees two-theta:
2θ 21.1, rel. 100, (0 2 2); 2θ 30.0, rel. 72, (1 3 1); 2θ 34.2, rel. 72, (0 0 4); 2θ 33.6, rel. 53, (1 3 2); 2θ 42.5, rel. 49, (1 5 2); 2θ 28.2, rel. 43, (1 1 2); 2θ 28.8, rel. 42, (1 3 0); 2θ 25.2, rel. 39, (0 4 0); 2θ 42.1, rel. 32, (0 6 2); 2θ 43.0, rel. 30, (0 4 4)

Structure:
```
data_BaTbScS3
_chemical_formula_sum 'Ba4 Tb4 Sc4 S12'
_cell_length_a 4.127
_cell_length_b 14.112
_cell_length_c 10.490
_cell_angle_alpha 90.00
_cell_angle_beta 90.00
_cell_angle_gamma 90.00
_symmetry_space_group_name_H-M 'C m c m'
_symmetry_Int_Tables_number 63
_symmetry_space_group_name_Hall '-C 2c 2'
loop_
_atom_site_label
_atom_site_type_symbol
_atom_site_fract_x
_atom_site_fract_y
_atom_site_fract_z
Ba1 Ba 0.000 0.240 0.250
Tb1 Tb 0.000 0.500 0.000
Sc1 Sc 0.000 0.032 0.750
S1 S 0.000 0.132 0.558
S2 S 0.000 0.428 0.750
```